For AcReHg2O6, a cell relaxed with PBE gives the calculated powder XRD pattern in this record (copper Kα).

Most intense lines, 2θ from 10° to 90°, low angle first:
| two_theta | intensity |
| --- | --- |
| 28.05 | 100.0 |
| 30.57 | 79.2 |
| 41.96 | 40.3 |
| 47.99 | 21.3 |
| 52.80 | 36.4 |
| 54.33 | 18.6 |
| 57.97 | 13.2 |
| 63.63 | 11.4 |
| 66.96 | 17.0 |
| 70.93 | 15.1 |

Cell and atoms:
Unit cell a=6.413 b=6.413 c=6.413 alpha=54.26 beta=54.26 gamma=54.26
Sites, in units of the cell vectors:
Ac  0.000  0.000  0.000
Re  0.503  0.503  0.503
Hg  0.233  0.233  0.233
Hg  0.742  0.742  0.742
O  0.241  0.343  0.742
O  0.299  0.834  0.607
O  0.343  0.742  0.241
O  0.607  0.299  0.834
O  0.742  0.241  0.343
O  0.834  0.607  0.299


For Ac2HgRhO5, a cell relaxed with PBE gives the calculated powder XRD pattern in this record (copper Kα).

Most intense lines, 2θ from 10° to 90°, low angle first:
| two_theta | intensity |
| --- | --- |
| 26.84 | 23.0 |
| 28.67 | 100.0 |
| 31.14 | 45.3 |
| 31.32 | 29.2 |
| 34.14 | 24.9 |
| 38.32 | 14.8 |
| 41.71 | 27.4 |
| 47.00 | 20.4 |
| 53.32 | 17.4 |
| 54.13 | 17.7 |

Cell and atoms:
Unit cell a=7.429 b=7.429 c=5.712 alpha=90.00 beta=90.00 gamma=90.00
Sites, in units of the cell vectors:
Ac  0.181  0.319  0.000
Ac  0.319  0.819  0.000
Ac  0.681  0.181  0.000
Ac  0.819  0.681  0.000
Hg  0.000  0.000  0.500
Hg  0.500  0.500  0.500
Rh  0.000  0.500  0.500
Rh  0.500  0.000  0.500
O  0.000  0.000  0.000
O  0.125  0.625  0.248
O  0.125  0.625  0.752
O  0.375  0.125  0.248
O  0.375  0.125  0.752
O  0.500  0.500  0.000
O  0.625  0.875  0.248
O  0.625  0.875  0.752
O  0.875  0.375  0.248
O  0.875  0.375  0.752


For AcHgRu2O8, a cell relaxed with PBE gives the calculated powder XRD pattern in this record (copper Kα).

Most intense lines, 2θ from 10° to 90°, low angle first:
| two_theta | intensity |
| --- | --- |
| 15.78 | 61.8 |
| 19.30 | 47.7 |
| 27.33 | 100.0 |
| 27.51 | 76.8 |
| 39.17 | 44.1 |
| 48.53 | 40.2 |
| 48.63 | 16.0 |
| 53.77 | 26.2 |
| 64.14 | 19.1 |
| 77.90 | 19.9 |

Cell and atoms:
Unit cell a=6.486 b=6.486 c=8.017 alpha=90.00 beta=90.00 gamma=120.00
Sites, in units of the cell vectors:
Ac  0.000  0.000  0.000
Hg  0.000  0.000  0.500
Ru  0.333  0.667  0.248
Ru  0.667  0.333  0.752
O  0.182  0.370  0.168
O  0.188  0.818  0.168
O  0.333  0.667  0.463
O  0.370  0.188  0.832
O  0.630  0.812  0.168
O  0.667  0.333  0.537
O  0.812  0.182  0.832
O  0.818  0.630  0.832


For AcTa2HgO7, a cell relaxed with PBE gives the calculated powder XRD pattern in this record (copper Kα).

Most intense lines, 2θ from 10° to 90°, low angle first:
| two_theta | intensity |
| --- | --- |
| 27.74 | 100.0 |
| 31.54 | 11.6 |
| 32.43 | 37.5 |
| 45.87 | 19.8 |
| 46.52 | 18.8 |
| 55.03 | 31.1 |
| 57.29 | 9.1 |
| 74.85 | 6.4 |
| 77.27 | 6.5 |
| 85.84 | 6.9 |

Cell and atoms:
Unit cell a=3.904 b=3.904 c=11.346 alpha=90.00 beta=90.00 gamma=90.00
Sites, in units of the cell vectors:
Ac  0.000  0.000  0.000
Ta  0.500  0.500  0.211
Ta  0.500  0.500  0.789
Hg  0.000  0.000  0.500
O  0.000  0.500  0.173
O  0.000  0.500  0.827
O  0.500  0.000  0.173
O  0.500  0.000  0.827
O  0.500  0.500  0.000
O  0.500  0.500  0.371
O  0.500  0.500  0.629


For Ac2HgTe2O2, a cell relaxed with PBE gives the calculated powder XRD pattern in this record (copper Kα).

Most intense lines, 2θ from 10° to 90°, low angle first:
| two_theta | intensity |
| --- | --- |
| 24.41 | 100.0 |
| 27.26 | 37.4 |
| 31.47 | 17.0 |
| 34.93 | 17.0 |
| 36.63 | 37.6 |
| 41.11 | 42.0 |
| 48.40 | 16.3 |
| 48.82 | 14.1 |
| 55.02 | 28.0 |
| 65.33 | 13.4 |

Cell and atoms:
Unit cell a=4.391 b=4.391 c=12.844 alpha=90.00 beta=90.00 gamma=120.00
Sites, in units of the cell vectors:
Ac  0.333  0.667  0.121
Ac  0.667  0.333  0.879
Hg  0.000  0.000  0.500
Te  0.000  0.000  0.296
Te  0.000  0.000  0.704
O  0.333  0.667  0.929
O  0.667  0.333  0.071


For AcHgTeO6, a cell relaxed with PBE gives the calculated powder XRD pattern in this record (copper Kα).

Most intense lines, 2θ from 10° to 90°, low angle first:
| two_theta | intensity |
| --- | --- |
| 23.82 | 100.0 |
| 30.60 | 91.4 |
| 33.94 | 28.9 |
| 46.34 | 69.7 |
| 48.76 | 17.0 |
| 54.97 | 18.3 |
| 58.11 | 17.1 |
| 58.67 | 20.2 |
| 69.54 | 18.0 |
| 79.68 | 14.4 |

Cell and atoms:
Unit cell a=5.282 b=5.282 c=10.522 alpha=90.00 beta=90.00 gamma=90.00
Sites, in units of the cell vectors:
Ac  0.000  0.000  0.000
Ac  0.500  0.500  0.500
Hg  0.000  0.000  0.330
Hg  0.500  0.500  0.830
Te  0.000  0.000  0.661
Te  0.500  0.500  0.161
O  0.174  0.174  0.522
O  0.181  0.181  0.796
O  0.239  0.239  0.164
O  0.261  0.739  0.664
O  0.319  0.681  0.296
O  0.326  0.674  0.022
O  0.674  0.326  0.022
O  0.681  0.319  0.296
O  0.739  0.261  0.664
O  0.761  0.761  0.164
O  0.819  0.819  0.796
O  0.826  0.826  0.522


For AcTi2HgO7, a cell relaxed with PBE gives the calculated powder XRD pattern in this record (copper Kα).

Most intense lines, 2θ from 10° to 90°, low angle first:
| two_theta | intensity |
| --- | --- |
| 16.77 | 56.2 |
| 23.38 | 59.8 |
| 26.29 | 100.0 |
| 31.35 | 59.4 |
| 33.87 | 96.6 |
| 37.79 | 30.5 |
| 41.81 | 53.2 |
| 46.99 | 34.7 |
| 54.64 | 26.7 |
| 54.89 | 28.4 |

Cell and atoms:
Unit cell a=10.919 b=10.919 c=10.919 alpha=159.60 beta=159.60 gamma=29.01
Sites, in units of the cell vectors:
Ac  0.000  0.000  0.000
Ti  0.392  0.392  0.000
Ti  0.608  0.608  0.000
Hg  0.750  0.250  0.500
O  0.089  0.589  0.500
O  0.306  0.306  0.000
O  0.411  0.911  0.500
O  0.500  0.500  0.000
O  0.592  0.092  0.500
O  0.694  0.694  0.000
O  0.908  0.408  0.500


For Ac2TlHg2O2, a cell relaxed with PBE gives the calculated powder XRD pattern in this record (copper Kα).

Most intense lines, 2θ from 10° to 90°, low angle first:
| two_theta | intensity |
| --- | --- |
| 24.86 | 23.9 |
| 25.64 | 100.0 |
| 27.87 | 44.7 |
| 31.28 | 61.4 |
| 35.50 | 54.4 |
| 40.38 | 18.2 |
| 43.78 | 47.9 |
| 45.76 | 17.6 |
| 54.80 | 50.2 |
| 69.81 | 16.0 |

Cell and atoms:
Unit cell a=4.135 b=4.135 c=14.286 alpha=90.00 beta=90.00 gamma=120.00
Sites, in units of the cell vectors:
Ac  0.333  0.667  0.113
Ac  0.667  0.333  0.887
Tl  0.000  0.000  0.500
Hg  0.000  0.000  0.293
Hg  0.000  0.000  0.707
O  0.333  0.667  0.936
O  0.667  0.333  0.064


Please write out number 1 again, unchanged.
For AcReHg2O6, a cell relaxed with PBE gives the calculated powder XRD pattern in this record (copper Kα).

Most intense lines, 2θ from 10° to 90°, low angle first:
| two_theta | intensity |
| --- | --- |
| 28.05 | 100.0 |
| 30.57 | 79.2 |
| 41.96 | 40.3 |
| 47.99 | 21.3 |
| 52.80 | 36.4 |
| 54.33 | 18.6 |
| 57.97 | 13.2 |
| 63.63 | 11.4 |
| 66.96 | 17.0 |
| 70.93 | 15.1 |

Cell and atoms:
Unit cell a=6.413 b=6.413 c=6.413 alpha=54.26 beta=54.26 gamma=54.26
Sites, in units of the cell vectors:
Ac  0.000  0.000  0.000
Re  0.503  0.503  0.503
Hg  0.233  0.233  0.233
Hg  0.742  0.742  0.742
O  0.241  0.343  0.742
O  0.299  0.834  0.607
O  0.343  0.742  0.241
O  0.607  0.299  0.834
O  0.742  0.241  0.343
O  0.834  0.607  0.299